# 1
Starting from DFT lattice parameters and positions (GGA-PBE), the powder diffraction line list of Pu4TaN5 was computed for copper Kα.
No peak broadening, texture or thermal motion is included.

Atomic structure:
a b c (Å): 7.599 7.599 4.806
angles (deg): 90.00 90.00 90.00
Space group I4/m (No. 87)
Inequivalent atoms, fractional coordinates:
1 Pu 0.099 0.297 0.000 x8
2 Ta 0.000 0.000 0.500 x2
3 N 0.000 0.000 0.000 x2
4 N 0.094 0.280 0.500 x8

Largest 7 diffraction maxima, sorted by position, 10 to 80 degrees two-theta:
two_theta	Rel. int.
21.88	1
32.26	100
37.43	65
53.97	45
64.29	45
67.52	15
79.83	7

=====

# 2
Starting from DFT lattice parameters and positions (GGA-PBE), the powder diffraction line list of Hf7Pd2N2 was computed for copper Kα.
No peak broadening, texture or thermal motion is included.

Atomic structure:
a b c (Å): 10.182 6.852 5.651
angles (deg): 90.00 94.88 90.00
Space group C2/m (No. 12)
Inequivalent atoms, fractional coordinates:
1 Hf 0.000 0.000 0.000 x2
2 Hf 0.067 0.500 0.780 x4
3 Hf 0.208 0.281 0.235 x8
4 Pd 0.000 0.187 0.500 x4
5 N 0.226 0.000 0.029 x4

Largest 12 diffraction maxima, sorted by position, 10 to 80 degrees two-theta:
two_theta	Rel. int.
31.51	93
32.45	33
34.89	46
35.11	29
35.39	29
36.10	100
36.28	32
37.64	42
37.85	27
40.22	36
43.39	45
44.21	50

=====

# 3
Starting from DFT lattice parameters and positions (GGA-PBE), the powder diffraction line list of HoZrCu3 was computed for copper Kα.
No peak broadening, texture or thermal motion is included.

Atomic structure:
a b c (Å): 3.355 25.208 4.228
angles (deg): 90.00 90.00 90.00
Space group Cmcm (No. 63)
Inequivalent atoms, fractional coordinates:
1 Ho 0.000 0.075 0.250 x4
2 Zr 0.000 0.211 0.750 x4
3 Cu 0.000 0.323 0.750 x4
4 Cu 0.000 0.378 0.250 x4
5 Cu 0.000 0.476 0.250 x4

Largest 12 diffraction maxima, sorted by position, 10 to 80 degrees two-theta:
two_theta	Rel. int.
25.37	17
35.80	100
36.61	50
38.63	14
41.72	56
42.78	31
54.70	24
57.54	26
71.09	22
71.83	20
73.30	9
73.80	11

=====

# 4
Starting from DFT lattice parameters and positions (GGA-PBE), the powder diffraction line list of SrGdCuS3 was computed for copper Kα.
No peak broadening, texture or thermal motion is included.

Atomic structure:
a b c (Å): 10.410 3.966 13.035
angles (deg): 90.00 90.00 90.00
Space group Pnma (No. 62)
Inequivalent atoms, fractional coordinates:
1 Sr 0.219 0.250 0.001 x4
2 Gd 0.019 0.750 0.261 x4
3 Cu 0.231 0.750 0.776 x4
4 S 0.049 0.750 0.881 x4
5 S 0.099 0.250 0.392 x4
6 S 0.236 0.250 0.673 x4

Largest 12 diffraction maxima, sorted by position, 10 to 80 degrees two-theta:
two_theta	Rel. int.
13.59	83
21.85	57
27.37	38
29.13	80
30.52	29
31.73	60
34.46	34
35.16	100
44.55	26
45.12	45
45.75	34
58.51	25